No. 1
For NaGeAsS4, the GGA-PBE geometry in Alexandria gives the theoretical powder diffractogram in this record (CuKα).
Peak positions follow from Bragg's law for the DFT cell and can differ from measured ones.

The 12 most intense peaks (2θ = 15–90°), in order of rising 2θ:
4.278 Å, rel. 46.1
3.776 Å, rel. 62.2
3.529 Å, rel. 100.0
3.318 Å, rel. 70.2
3.120 Å, rel. 46.5
2.622 Å, rel. 20.3
2.325 Å, rel. 20.3
2.139 Å, rel. 30.5
2.080 Å, rel. 31.3
1.980 Å, rel. 79.6
1.888 Å, rel. 21.0
1.798 Å, rel. 21.9

Structural model:
Cell lengths 6.705, 6.705, 8.557 Å; angles 90.00, 90.00, 111.45 degrees
Fractional coordinates of all 14 atoms:
Na (0.000, 0.000, 0.000)
Na (0.000, 0.000, 0.500)
Ge (0.369, 0.631, 0.750)
Ge (0.631, 0.369, 0.250)
As (0.339, 0.661, 0.250)
As (0.661, 0.339, 0.750)
S (0.262, 0.738, 0.536)
S (0.262, 0.738, 0.964)
S (0.268, 0.297, 0.250)
S (0.297, 0.268, 0.750)
S (0.703, 0.732, 0.250)
S (0.732, 0.703, 0.750)
S (0.738, 0.262, 0.036)
S (0.738, 0.262, 0.464)

---

No. 2
For Na2Zn3GeAs4, the GGA-PBE geometry in Alexandria gives the theoretical powder diffractogram in this record (CuKα).
Peak positions follow from Bragg's law for the DFT cell and can differ from measured ones.

The 12 most intense peaks (2θ = 15–90°), in order of rising 2θ:
3.764 Å, rel. 37.9
3.594 Å, rel. 58.7
3.551 Å, rel. 30.7
3.240 Å, rel. 49.6
3.219 Å, rel. 25.6
2.594 Å, rel. 90.3
2.509 Å, rel. 24.1
2.084 Å, rel. 44.6
2.059 Å, rel. 100.0
2.055 Å, rel. 77.0
1.603 Å, rel. 18.8
1.198 Å, rel. 24.6

Structural model:
Cell lengths 8.562, 8.562, 7.103 Å; angles 114.17, 114.17, 28.17 degrees
Fractional coordinates of all 10 atoms:
Na (0.000, 0.000, 0.000)
Na (0.509, 0.509, 0.500)
Zn (0.329, 0.329, 0.636)
Zn (0.711, 0.711, 0.382)
Zn (0.837, 0.837, 0.175)
Ge (0.195, 0.195, 0.851)
As (0.143, 0.143, 0.465)
As (0.362, 0.362, 0.017)
As (0.642, 0.642, 0.978)
As (0.885, 0.885, 0.548)

---

No. 3
For Nb4GeAs, the GGA-PBE geometry in Alexandria gives the theoretical powder diffractogram in this record (CuKα).
Peak positions follow from Bragg's law for the DFT cell and can differ from measured ones.

The 12 most intense peaks (2θ = 15–90°), in order of rising 2θ:
2.623 Å, rel. 42.6
2.562 Å, rel. 49.9
2.456 Å, rel. 26.6
2.436 Å, rel. 100.0
2.306 Å, rel. 42.4
2.289 Å, rel. 20.8
2.261 Å, rel. 93.9
2.191 Å, rel. 85.3
2.145 Å, rel. 67.9
1.469 Å, rel. 22.5
1.248 Å, rel. 22.1
1.224 Å, rel. 22.7

Structural model:
Cell lengths 6.775, 6.775, 5.394 Å; angles 101.88, 101.88, 112.55 degrees
Fractional coordinates of all 12 atoms:
Nb (0.069, 0.691, 0.922)
Nb (0.205, 0.405, 0.633)
Nb (0.309, 0.931, 0.578)
Nb (0.405, 0.205, 0.133)
Nb (0.595, 0.795, 0.867)
Nb (0.691, 0.069, 0.422)
Nb (0.795, 0.595, 0.367)
Nb (0.931, 0.309, 0.078)
Ge (0.386, 0.614, 0.250)
Ge (0.614, 0.386, 0.750)
As (0.010, 0.990, 0.250)
As (0.990, 0.010, 0.750)

---

No. 4
For NbGeAs2, the GGA-PBE geometry in Alexandria gives the theoretical powder diffractogram in this record (CuKα).
Peak positions follow from Bragg's law for the DFT cell and can differ from measured ones.

The 12 most intense peaks (2θ = 15–90°), in order of rising 2θ:
2.797 Å, rel. 100.0
2.580 Å, rel. 33.3
2.570 Å, rel. 55.7
2.523 Å, rel. 34.4
2.482 Å, rel. 37.1
2.436 Å, rel. 48.5
2.386 Å, rel. 27.7
2.292 Å, rel. 35.1
2.130 Å, rel. 25.2
2.083 Å, rel. 40.7
2.051 Å, rel. 56.9
1.921 Å, rel. 30.5

Structural model:
Cell lengths 5.253, 5.366, 6.055 Å; angles 110.05, 93.82, 106.23 degrees
Fractional coordinates of all 8 atoms:
Nb (0.000, 0.000, 0.000)
Nb (0.214, 0.936, 0.423)
Ge (0.831, 0.590, 0.545)
Ge (0.880, 0.466, 0.018)
As (0.334, 0.470, 0.403)
As (0.374, 0.326, 0.867)
As (0.447, 0.844, 0.981)
As (0.764, 0.081, 0.424)